Starting from the PBE geometry in Alexandria, the PXRD pattern of Na5B8C2 was calculated for Cu Ka.
Lines closer than 0.1° are merged.

Cell and atoms:
```
data_Na5B8C2
_cell_length_a 23.447
_cell_length_b 2.819
_cell_length_c 10.155
_cell_angle_alpha 90.00
_cell_angle_beta 106.09
_cell_angle_gamma 90.00
_space_group_name_H-M_alt 'C 1 2/m 1'
_space_group_IT_number 12
_space_group_name_Hall '-C 2y'
loop_
_atom_site_label
_atom_site_type_symbol
_atom_site_fract_x
_atom_site_fract_y
_atom_site_fract_z
Na1 Na 0.000 0.000 0.000
Na2 Na 0.000 0.500 0.500
Na3 Na 0.097 0.000 0.699
Na4 Na 0.099 0.500 0.200
Na5 Na 0.199 0.500 0.899
Na6 Na 0.200 0.000 0.399
B1 B 0.009 0.500 0.767
B2 B 0.075 0.500 0.901
B3 B 0.082 0.000 0.417
B4 B 0.116 0.000 0.983
B5 B 0.172 0.500 0.596
B6 B 0.179 0.000 0.111
B7 B 0.214 0.000 0.678
B8 B 0.223 0.500 0.197
C1 C 0.021 0.000 0.295
C2 C 0.113 0.500 0.479
```

Largest 10 diffraction maxima, low angle first, 5 to 70 degrees two-theta:
hkl  2θ (°)  I/Imax
6 0 2  33.92  14
3 1 1  36.12  16
10 0 0  39.97  48
8 0 -4  41.73  38
1 1 -3  41.89  100
2 0 -6  54.75  4
14 0 -2  54.90  3
11 1 -3  56.35  9
9 1 3  62.13  17
0 2 0  66.33  8